The following is a computed PXRD pattern of NdHoAsP. It was derived from a cell relaxed with PBE, using Cu Kα X-rays.

Main lines, sorted by position (5° ≤ 2θ ≤ 70°):
| 2θ (°) | I (rel.) | index |
| --- | --- | --- |
| 21.45 | 5 | 1 0 0 |
| 26.38 | 59 | 1 0 1 |
| 30.51 | 90 | 1 1 0 |
| 30.63 | 45 | 0 0 2 |
| 43.75 | 100 | 2 0 0 |
| 51.76 | 19 | 2 1 1 |
| 51.92 | 10 | 1 0 3 |
| 54.30 | 35 | 2 0 2 |
| 63.50 | 11 | 2 2 0 |
| 63.78 | 5 | 0 0 4 |

Structural model:
Lattice parameters (Å, degrees): 4.144 4.144 5.837 90.00 90.00 90.00
Space group P4/mmm (No. 123)
Unique sites:
Nd: 0.000 0.000 0.000
Ho: 0.500 0.500 0.500
As: 0.500 0.500 0.000
P: 0.000 0.000 0.500